# 1
The following is a theoretical X-ray diffraction stick pattern of Er2H2I3Br. It was derived from a structure optimized by DFT (PBE), using Cu Kα.

Crystal structure
Cell lengths 3.924, 3.924, 15.754 Å; angles 90.00, 90.00, 120.00 degrees
Fractional positions:
Er  0.000  0.000  0.000
Er  0.000  0.000  0.494
H  0.333  0.667  0.497
H  0.667  0.333  0.000
I  0.333  0.667  0.134
I  0.333  0.667  0.866
I  0.667  0.333  0.629
Br  0.667  0.333  0.377

Largest 12 diffraction maxima, most intense first, 10° ≤ 2θ ≤ 80°:
hkl 0 1 4, 2θ 34.87, I 100; hkl 0 0 2, 2θ 11.23, I 72; hkl 1 0 2, 2θ 28.61, I 67; hkl 1 0 1, 2θ 26.84, I 47; hkl 1 1 0, 2θ 46.27, I 46; hkl 0 1 3, 2θ 31.35, I 43; hkl 1 1 8, 2θ 67.37, I 27; hkl 2 0 4, 2θ 59.23, I 22; hkl 1 2 4, 2θ 78.29, I 19; hkl 0 1 6, 2θ 43.56, I 14; hkl 1 0 7, 2θ 48.52, I 14; hkl 0 0 8, 2θ 46.09, I 14

# 2
The following is a theoretical X-ray diffraction stick pattern of Na3CdSbSe4. It was derived from a structure optimized by DFT (PBE), using Cu Kα.

Crystal structure
Cell lengths 7.353, 16.250, 8.351 Å; angles 90.00, 106.56, 90.00 degrees
Fractional positions:
Na  0.137  0.155  0.281
Na  0.137  0.345  0.781
Na  0.254  0.564  0.064
Na  0.254  0.936  0.564
Na  0.272  0.564  0.570
Na  0.272  0.936  0.070
Na  0.728  0.064  0.930
Na  0.728  0.436  0.430
Na  0.746  0.064  0.436
Na  0.746  0.436  0.936
Na  0.863  0.655  0.219
Na  0.863  0.845  0.719
Cd  0.355  0.746  0.842
Cd  0.355  0.754  0.342
Cd  0.645  0.246  0.658
Cd  0.645  0.254  0.158
Sb  0.208  0.147  0.800
Sb  0.208  0.353  0.300
Sb  0.792  0.647  0.700
Sb  0.792  0.853  0.200
Se  0.014  0.015  0.757
Se  0.014  0.485  0.257
Se  0.117  0.746  0.032
Se  0.117  0.754  0.532
Se  0.427  0.109  0.607
Se  0.427  0.391  0.107
Se  0.431  0.115  0.104
Se  0.431  0.385  0.604
Se  0.569  0.615  0.396
Se  0.569  0.885  0.896
Se  0.573  0.609  0.893
Se  0.573  0.891  0.393
Se  0.883  0.246  0.468
Se  0.883  0.254  0.968
Se  0.986  0.515  0.743
Se  0.986  0.985  0.243

Largest 12 diffraction maxima, most intense first, 10° ≤ 2θ ≤ 80°:
hkl 1 1 2, 2θ 29.13, I 100; hkl 2 2 -2, 2θ 30.68, I 75; hkl 1 5 0, 2θ 30.28, I 65; hkl 2 4 2, 2θ 44.75, I 63; hkl 1 3 0, 2θ 20.68, I 55; hkl 1 0 -4, 2θ 43.34, I 36; hkl 0 2 1, 2θ 15.54, I 29; hkl 0 2 0, 2θ 10.89, I 26; hkl 2 5 -4, 2θ 53.78, I 25; hkl 3 3 -2, 2θ 42.12, I 24; hkl 0 8 0, 2θ 44.58, I 23; hkl 0 6 2, 2θ 40.20, I 23